[1]
The following is a calculated powder diffractogram of NaCaW2. It was derived from a DFT-relaxed cell (PBE, Alexandria), using Cu Kα (λ = 1.5418 Å).
No peak broadening, texture or thermal motion is included.

Atomic structure:
abc: 6.4185 6.4185 6.4185
angles: 98.69 98.69 134.26
Element x y z (fractional)
1 Na 0.0000 0.0000 0.0000
2 Na 0.7500 0.2500 0.5000
3 Ca 0.2500 0.7500 0.5000
4 Ca 0.5000 0.5000 0.0000
5 W 0.0917 0.6250 0.9667
6 W 0.3750 0.3417 0.4667
7 W 0.6583 0.1250 0.0333
8 W 0.8750 0.9083 0.5333

Principal peaks in the range 5° ≤ 2θ ≤ 70°, in order of falling intensity:
| Position (°2θ) | d [Å] | I/Imax |
| --- | --- | --- |
| 21.25 | 4.182 | 100 |
| 30.22 | 2.957 | 87 |
| 39.20 | 2.298 | 71 |
| 50.28 | 1.815 | 59 |
| 43.27 | 2.091 | 28 |
| 29.86 | 2.993 | 18 |
| 68.46 | 1.370 | 16 |
| 58.17 | 1.586 | 15 |

[2]
The following is a calculated powder diffractogram of NaCa6Zn. It was derived from a DFT-relaxed cell (PBE, Alexandria), using Cu Kα (λ = 1.5418 Å).
No peak broadening, texture or thermal motion is included.

Atomic structure:
abc: 10.3864 10.3864 10.3864
angles: 149.37 149.37 43.86
Element x y z (fractional)
1 Na 0.0000 0.0000 0.0000
2 Ca 0.1041 0.6041 0.5000
3 Ca 0.2493 0.2493 0.0000
4 Ca 0.3959 0.8959 0.5000
5 Ca 0.6041 0.1041 0.5000
6 Ca 0.7507 0.7507 0.0000
7 Ca 0.8959 0.3959 0.5000
8 Zn 0.5000 0.5000 0.0000

Principal peaks in the range 5° ≤ 2θ ≤ 70°, in order of falling intensity:
| Position (°2θ) | d [Å] | I/Imax |
| --- | --- | --- |
| 29.56 | 3.021 | 100 |
| 32.64 | 2.743 | 44 |
| 56.37 | 1.632 | 28 |
| 46.84 | 1.940 | 15 |
| 50.42 | 1.810 | 13 |
| 9.18 | 9.635 | 9 |
| 36.31 | 2.474 | 9 |
| 37.33 | 2.409 | 8 |